Record 1
Theoretical powder diffractogram of Ca3BI3N2 for a wavelength of 1.5418 Å, from a crystal structure in the Materials Project, relaxed with GGA-PBE.
Neutral-atom scattering factors, no anomalous dispersion.

Peak list (10 most intense, 2θ from 10° to 90°, in order of falling intensity)
- 2θ = 28.26°, rel. 100, hkl 0 4 2
- 2θ = 25.35°, rel. 38, hkl 4 0 1
- 2θ = 37.91°, rel. 34, hkl 4 0 4
- 2θ = 42.78°, rel. 25, hkl 4 4 0
- 2θ = 21.40°, rel. 18, hkl 0 0 3
- 2θ = 52.06°, rel. 14, hkl 8 0 2
- 2θ = 26.19°, rel. 12, hkl 3 1 2
- 2θ = 62.70°, rel. 11, hkl 4 4 6
- 2θ = 23.86°, rel. 10, hkl 1 1 3
- 2θ = 48.31°, rel. 9, hkl 4 4 3

Crystal structure
```
data_Ca3BI3N2
_cell_length_a 16.9111
_cell_length_b 16.9111
_cell_length_c 12.4661
_cell_angle_alpha 90.00
_cell_angle_beta 90.00
_cell_angle_gamma 120.00
_space_group_name_H-M_alt 'R 3 2'
_space_group_IT_number 155
_space_group_name_Hall 'R 3 2"'
loop_
_atom_site_label
_atom_site_fract_x
_atom_site_fract_y
_atom_site_fract_z
Ca1 0.0000 0.5157 0.0000
Ca2 0.0000 0.7202 0.0000
Ca3 0.0630 0.9110 0.6759
B1 0.0000 0.0000 0.5000
B2 0.0000 0.7648 0.5000
I1 0.0000 0.2281 0.5000
I2 0.0000 0.5017 0.5000
I3 0.0846 0.1797 0.1501
N1 0.0000 0.0000 0.3915
N2 0.0019 0.7645 0.3922
```

Record 2
Theoretical powder diffractogram of ErCuPbS3 for a wavelength of 1.5418 Å, from a crystal structure in the Materials Project, relaxed with GGA-PBE.
Neutral-atom scattering factors, no anomalous dispersion.

Peak list (10 most intense, 2θ from 10° to 90°, in order of falling intensity)
- 2θ = 22.17°, rel. 100, hkl 0 2 2
- 2θ = 31.94°, rel. 93, hkl 1 3 1
- 2θ = 45.24°, rel. 64, hkl 0 4 4
- 2θ = 35.51°, rel. 50, hkl 1 3 2
- 2θ = 27.27°, rel. 47, hkl 0 4 0
- 2θ = 25.29°, rel. 45, hkl 1 1 1
- 2θ = 35.36°, rel. 42, hkl 0 0 4
- 2θ = 66.76°, rel. 41, hkl 2 4 4
- 2θ = 29.59°, rel. 40, hkl 1 1 2
- 2θ = 35.72°, rel. 40, hkl 1 1 3

Crystal structure
```
data_ErCuPbS3
_cell_length_a 3.9191
_cell_length_b 13.0821
_cell_length_c 10.1525
_cell_angle_alpha 90.00
_cell_angle_beta 90.00
_cell_angle_gamma 90.00
_space_group_name_H-M_alt 'C m c 21'
_space_group_IT_number 36
loop_
_space_group_symop_operation_xyz
'x,y,z'
'-x,-y,z+1/2'
'-x,y,z'
'x,-y,z+1/2'
'x+1/2,y+1/2,z'
'-x+1/2,-y+1/2,z+1/2'
'-x+1/2,y+1/2,z'
'x+1/2,-y+1/2,z+1/2'
loop_
_atom_site_label
_atom_site_fract_x
_atom_site_fract_y
_atom_site_fract_z
Er1 0.0000 0.0033 0.0000
Cu1 0.0000 0.4669 0.7487
Pb1 0.0000 0.2518 0.2720
S1 0.0000 0.0729 0.7482
S2 0.0000 0.3622 0.5632
S3 0.0000 0.3644 0.9348
```

Record 3
Theoretical powder diffractogram of NaMg6W for a wavelength of 1.5418 Å, from a crystal structure in the Materials Project, relaxed with GGA-PBE.
Neutral-atom scattering factors, no anomalous dispersion.

Peak list (10 most intense, 2θ from 10° to 90°, in order of falling intensity)
- 2θ = 37.67°, rel. 100, hkl 1 2 2
- 2θ = 24.13°, rel. 96, hkl 1 0 2
- 2θ = 16.35°, rel. 91, hkl 0 1 1
- 2θ = 16.45°, rel. 45, hkl 0 0 2
- 2θ = 37.85°, rel. 38, hkl 1 0 4
- 2θ = 17.59°, rel. 37, hkl 1 0 0
- 2θ = 35.62°, rel. 35, hkl 2 0 0
- 2θ = 39.43°, rel. 31, hkl 2 1 1
- 2θ = 33.80°, rel. 28, hkl 1 1 3
- 2θ = 33.04°, rel. 28, hkl 0 2 2

Crystal structure
```
data_NaMg6W
_cell_length_a 5.0416
_cell_length_b 6.2750
_cell_length_c 10.7796
_cell_angle_alpha 90.00
_cell_angle_beta 90.00
_cell_angle_gamma 90.00
_space_group_name_H-M_alt 'A m m 2'
_space_group_IT_number 38
loop_
_space_group_symop_operation_xyz
'x,y,z'
'-x,-y,z'
'-x,y,z'
'x,-y,z'
'x,y+1/2,z+1/2'
'-x,-y+1/2,z+1/2'
'-x,y+1/2,z+1/2'
'x,-y+1/2,z+1/2'
loop_
_atom_site_label
_atom_site_fract_x
_atom_site_fract_y
_atom_site_fract_z
Na1 0.0000 0.0000 0.0000
Mg1 0.0000 0.0000 0.5001
Mg2 0.0000 0.2292 0.7590
Mg3 0.5000 0.0000 0.3300
Mg4 0.5000 0.2494 0.5831
W1 0.5000 0.0000 0.8196
```

Record 4
Theoretical powder diffractogram of Ge3Mo5 for a wavelength of 1.5418 Å, from a crystal structure in the Materials Project, relaxed with GGA-PBE.
Neutral-atom scattering factors, no anomalous dispersion.

Peak list (10 most intense, 2θ from 10° to 90°, in order of falling intensity)
- 2θ = 41.69°, rel. 100, hkl 4 1 1
- 2θ = 40.72°, rel. 64, hkl 4 2 0
- 2θ = 40.37°, rel. 51, hkl 2 0 2
- 2θ = 37.32°, rel. 44, hkl 3 2 1
- 2θ = 44.48°, rel. 43, hkl 2 2 2
- 2θ = 35.87°, rel. 22, hkl 0 0 2
- 2θ = 68.44°, rel. 22, hkl 4 1 3
- 2θ = 53.02°, rel. 18, hkl 5 2 1
- 2θ = 79.58°, rel. 16, hkl 6 4 2
- 2θ = 36.26°, rel. 13, hkl 4 0 0

Crystal structure
```
data_Ge3Mo5
_cell_length_a 9.9091
_cell_length_b 9.9091
_cell_length_c 5.0069
_cell_angle_alpha 90.00
_cell_angle_beta 90.00
_cell_angle_gamma 90.00
_space_group_name_H-M_alt 'I 4/m c m'
_space_group_IT_number 140
_space_group_name_Hall '-I 4 2c'
loop_
_atom_site_label
_atom_site_fract_x
_atom_site_fract_y
_atom_site_fract_z
Ge1 0.0000 0.0000 0.2500
Ge2 0.1681 0.3319 0.0000
Mo1 0.0000 0.5000 0.2500
Mo2 0.0768 0.2298 0.5000
```

Record 5
Theoretical powder diffractogram of TiCo3 for a wavelength of 1.5418 Å, from a crystal structure in the Materials Project, relaxed with GGA-PBE.
Neutral-atom scattering factors, no anomalous dispersion.

Peak list (6 most intense, 2θ from 10° to 90°, in order of falling intensity)
- 2θ = 43.45°, rel. 100, hkl 1 1 1
- 2θ = 50.61°, rel. 46, hkl 2 0 0
- 2θ = 74.38°, rel. 26, hkl 2 2 0
- 2θ = 24.68°, rel. 1, hkl 1 0 0
- 2θ = 35.18°, rel. 1, hkl 1 1 0
- 2θ = 57.10°, rel. 1, hkl 2 1 0

Crystal structure
```
data_TiCo3
_cell_length_a 3.6072
_cell_length_b 3.6072
_cell_length_c 3.6072
_cell_angle_alpha 90.00
_cell_angle_beta 90.00
_cell_angle_gamma 90.00
_space_group_name_H-M_alt 'P m -3 m'
_space_group_IT_number 221
_space_group_name_Hall '-P 4 2 3'
loop_
_atom_site_label
_atom_site_fract_x
_atom_site_fract_y
_atom_site_fract_z
Ti1 0.0000 0.0000 0.0000
Co1 0.0000 0.5000 0.5000
```

Record 6
Theoretical powder diffractogram of Ca2Bi2O5 for a wavelength of 1.5418 Å, from a crystal structure in the Materials Project, relaxed with GGA-PBE.
Neutral-atom scattering factors, no anomalous dispersion.

Peak list (10 most intense, 2θ from 10° to 90°, in order of falling intensity)
- 2θ = 29.93°, rel. 100, hkl 1 2 1
- 2θ = 22.02°, rel. 71, hkl 1 2 0
- 2θ = 20.02°, rel. 46, hkl 0 0 1
- 2θ = 27.31°, rel. 32, hkl 2 0 0
- 2θ = 40.67°, rel. 31, hkl 0 0 2
- 2θ = 49.66°, rel. 27, hkl 2 0 2
- 2θ = 34.94°, rel. 23, hkl 0 4 0
- 2θ = 46.74°, rel. 21, hkl 1 2 2
- 2θ = 34.10°, rel. 19, hkl 2 0 1
- 2θ = 47.35°, rel. 19, hkl 3 1 1

Crystal structure
```
data_Ca2Bi2O5
_cell_length_a 6.5311
_cell_length_b 10.2715
_cell_length_c 4.4342
_cell_angle_alpha 90.00
_cell_angle_beta 90.00
_cell_angle_gamma 90.00
_space_group_name_H-M_alt 'P b a m'
_space_group_IT_number 55
loop_
_space_group_symop_operation_xyz
'x,y,z'
'-x,-y,-z'
'-x,-y,z'
'x,y,-z'
'x+1/2,-y+1/2,-z'
'-x+1/2,y+1/2,z'
'-x+1/2,y+1/2,-z'
'x+1/2,-y+1/2,z'
loop_
_atom_site_label
_atom_site_fract_x
_atom_site_fract_y
_atom_site_fract_z
Ca1 0.1483 0.1290 0.0000
Bi1 0.2060 0.3887 0.5000
O1 0.0000 0.0000 0.5000
O2 0.1759 0.6947 0.5000
O3 0.2122 0.8893 0.0000
```

Record 7
Theoretical powder diffractogram of HoGa3 for a wavelength of 1.5418 Å, from a crystal structure in the Materials Project, relaxed with GGA-PBE.
Neutral-atom scattering factors, no anomalous dispersion.

Peak list (10 most intense, 2θ from 10° to 90°, in order of falling intensity)
- 2θ = 38.63°, rel. 100, hkl 2 0 1
- 2θ = 33.10°, rel. 25, hkl 2 0 0
- 2θ = 25.46°, rel. 24, hkl 1 0 1
- 2θ = 39.30°, rel. 22, hkl 0 0 2
- 2θ = 73.32°, rel. 18, hkl 2 2 2
- 2θ = 59.12°, rel. 17, hkl 2 2 0
- 2θ = 70.81°, rel. 16, hkl 2 0 3
- 2θ = 52.30°, rel. 14, hkl 2 0 2
- 2θ = 72.88°, rel. 13, hkl 4 0 1
- 2θ = 28.56°, rel. 10, hkl 1 1 0

Crystal structure
```
data_HoGa3
_cell_length_a 6.2506
_cell_length_b 6.2506
_cell_length_c 4.5846
_cell_angle_alpha 90.00
_cell_angle_beta 90.00
_cell_angle_gamma 120.00
_space_group_name_H-M_alt 'P 63/m m c'
_space_group_IT_number 194
_space_group_name_Hall '-P 6c 2c'
loop_
_atom_site_label
_atom_site_fract_x
_atom_site_fract_y
_atom_site_fract_z
Ho1 0.3333 0.6667 0.2500
Ga1 0.1495 0.2991 0.7500
```